This entry pairs a crystal structure of AcPm8Y3 with its theoretical PXRD pattern. Radiation: copper Kα. Structure: a structure optimized by DFT (PBE).

Structure:
```
12
Lattice="8.0914 -3.2083 0.0000 8.0914 3.2083 0.0000 -7.6469 0.0000 8.0913" Properties=species:S:1:pos:R:3 pbc="T T T"
Ac 0.0000 0.0000 0.0000
Pm 5.5197 -3.2051 2.7248
Pm 0.8787 -1.0661 3.4117
Pm 3.4504 -1.0631 0.6953
Pm 6.7914 0.0265 1.3730
Pm 1.7445 0.0265 6.7184
Pm 5.0855 -1.0631 7.3961
Pm 7.6572 -1.0661 4.6796
Pm 3.0163 -3.2051 5.3666
Y -1.7104 -1.0435 6.0496
Y 4.2680 0.0197 4.0457
Y 10.2464 -1.0435 2.0417
```

Top 12 peaks for 2θ = 10–90°, by angle:
Position (°2θ)  I (rel.)
27.78  24
30.40  25
31.75  100
41.65  16
49.14  20
54.87  21
58.87  15
58.93  8
59.67  11
80.82  7
80.92  7
84.04  7